Starting from DFT lattice parameters and positions (GGA+U), the XRD peak list of SmSbMo2O9 was calculated for copper Kα.
Lines closer than 0.1° are merged.

Structure:
```
data_SmSbMo2O9
_chemical_formula_sum 'Sm8 Sb8 Mo16 O72'
_cell_length_a 13.1969
_cell_length_b 14.5790
_cell_length_c 10.9919
_cell_angle_alpha 90.00
_cell_angle_beta 123.54
_cell_angle_gamma 90.00
_symmetry_space_group_name_H-M 'C 1 2/c 1'
_symmetry_Int_Tables_number 15
_symmetry_space_group_name_Hall '-C 2yc'
loop_
_atom_site_label
_atom_site_fract_x
_atom_site_fract_y
_atom_site_fract_z
Sm1 0.0000 0.1249 0.2500
Sm2 0.0000 0.3266 0.7500
Sb1 0.1348 0.4865 0.5371
Mo1 0.1535 0.1054 0.0259
Mo2 0.2469 0.1877 0.6945
O1 0.0176 0.4413 0.5986
O2 0.0803 0.0150 0.8994
O3 0.0855 0.2116 0.9355
O4 0.1198 0.2610 0.2758
O5 0.1362 0.0882 0.1754
O6 0.1443 0.1621 0.5064
O7 0.1757 0.2661 0.7494
O8 0.1878 0.4079 0.9230
O9 0.2094 0.4207 0.2004
```

Peak list (10 most intense, 2θ from 10° to 90°, low angle first)
h k l  2θ/deg  I/Imax
0 2 1  15.53  368
0 2 2  22.93  868
1 3 1  24.13  297
1 3 -2  24.60  772
2 2 1  26.09  968
4 0 -2  27.07  1000
2 2 -3  27.24  695
2 4 -1  27.99  636
1 7 1  46.48  722
1 5 -4  47.47  409



Starting from DFT lattice parameters and positions (GGA+U), the XRD peak list of TbSbMo2O9 was calculated for copper Kα.
Lines closer than 0.1° are merged.

Structure:
```
data_TbSbMo2O9
_chemical_formula_sum 'Tb8 Sb8 Mo16 O72'
_cell_length_a 13.0982
_cell_length_b 14.3453
_cell_length_c 10.8734
_cell_angle_alpha 90.00
_cell_angle_beta 123.64
_cell_angle_gamma 90.00
_symmetry_space_group_name_H-M 'C 1 2/c 1'
_symmetry_Int_Tables_number 15
_symmetry_space_group_name_Hall '-C 2yc'
loop_
_atom_site_label
_atom_site_fract_x
_atom_site_fract_y
_atom_site_fract_z
Tb1 0.0000 0.1254 0.2500
Tb2 0.0000 0.3285 0.7500
Sb1 0.1346 0.4832 0.5353
Mo1 0.1535 0.1065 0.0268
Mo2 0.2466 0.1876 0.6945
O1 0.0179 0.4419 0.6017
O2 0.0799 0.0150 0.8981
O3 0.0851 0.2146 0.9351
O4 0.1176 0.2624 0.2744
O5 0.1336 0.0882 0.1761
O6 0.1417 0.1626 0.5040
O7 0.1767 0.2683 0.7515
O8 0.1865 0.4091 0.9206
O9 0.2120 0.4222 0.1999
```

Peak list (10 most intense, 2θ from 10° to 90°, low angle first)
h k l  2θ/deg  I/Imax
0 2 1  15.76  425
2 2 -1  18.36  285
0 2 2  23.24  814
1 3 -2  24.95  731
2 2 1  26.40  998
4 0 -2  27.28  1000
2 2 -3  27.57  721
2 4 -1  28.38  641
1 5 0  32.25  284
1 5 -4  48.17  359



Starting from DFT lattice parameters and positions (GGA+U), the XRD peak list of TmSbMo2O9 was calculated for copper Kα.
Lines closer than 0.1° are merged.

Structure:
```
data_TmSbMo2O9
_chemical_formula_sum 'Tm8 Sb8 Mo16 O72'
_cell_length_a 12.9977
_cell_length_b 14.2176
_cell_length_c 10.7625
_cell_angle_alpha 90.00
_cell_angle_beta 123.77
_cell_angle_gamma 90.00
_symmetry_space_group_name_H-M 'C 1 2/c 1'
_symmetry_Int_Tables_number 15
_symmetry_space_group_name_Hall '-C 2yc'
loop_
_atom_site_label
_atom_site_fract_x
_atom_site_fract_y
_atom_site_fract_z
Tm1 0.0000 0.1264 0.2500
Tm2 0.0000 0.3291 0.7500
Sb1 0.1350 0.4819 0.5341
Mo1 0.1525 0.1068 0.0258
Mo2 0.2460 0.1876 0.6933
O1 0.0177 0.4402 0.6016
O2 0.0810 0.0130 0.8979
O3 0.0825 0.2150 0.9297
O4 0.1147 0.2632 0.2697
O5 0.1306 0.0895 0.1754
O6 0.1412 0.1639 0.4994
O7 0.1755 0.2692 0.7504
O8 0.1856 0.4078 0.9197
O9 0.2154 0.4241 0.2028
```

Peak list (10 most intense, 2θ from 10° to 90°, low angle first)
h k l  2θ/deg  I/Imax
0 2 1  15.92  472
2 2 -1  18.51  307
0 2 2  23.50  773
1 3 -2  25.20  675
2 2 1  26.68  1000
4 0 -2  27.50  974
2 2 -3  27.86  719
2 4 -1  28.63  631
1 7 1  47.69  268
1 5 -4  48.71  335